Diffraction record for VS2. The X-ray powder pattern is computed, not measured: it uses DFT lattice parameters and positions (GGA-PBE) and Cu Kα (weighted mean of Kα1 and Kα2).
No peak broadening, texture or thermal motion is included.

Structure:
```
data_VS2
_chemical_formula_sum 'V1 S2'
_cell_length_a 2.8851
_cell_length_b 3.4899
_cell_length_c 28.1496
_cell_angle_alpha 90.00
_cell_angle_beta 90.00
_cell_angle_gamma 90.00
_space_group_name_H-M_alt 'P m m m'
_space_group_IT_number 47
loop_
_space_group_symop_operation_xyz
'x,y,z'
'-x,-y,-z'
'-x,-y,z'
'x,y,-z'
'x,-y,-z'
'-x,y,z'
'-x,y,-z'
'x,-y,z'
loop_
_atom_site_label
_atom_site_fract_x
_atom_site_fract_y
_atom_site_fract_z
V1 0.0000 0.0000 0.0000
S1 0.5000 0.0000 0.0612
```

Peak list (10 most intense, 5° ≤ 2θ ≤ 70°, low angle first)
- 6.28 deg, rel. 100
- 9.43 deg, rel. 26
- 12.58 deg, rel. 6
- 25.52 deg, rel. 6
- 25.72 deg, rel. 10
- 26.31 deg, rel. 7
- 27.26 deg, rel. 4
- 38.40 deg, rel. 3
- 46.68 deg, rel. 4
- 48.44 deg, rel. 4